Sm2Ti2AlIr5: theoretical XRD peak list (Cu Kα), based on a DFT-relaxed cell (GGA-PBE, Alexandria).
Kinematic intensities with the Lorentz-polarization factor, no thermal factor.

Largest 6 diffraction maxima, by angle, 2θ = 15–90°:
2θ = 31.81°, d = 2.813 Å, I 40, hkl 2 1 1; 2θ = 37.45°, d = 2.401 Å, I 78, hkl 4 1 0; 2θ = 37.89°, d = 2.375 Å, I 100, hkl 3 1 1; 2θ = 38.58°, d = 2.334 Å, I 35, hkl 3 3 0; 2θ = 41.17°, d = 2.193 Å, I 47, hkl 3 2 1; 2θ = 64.18°, d = 1.451 Å, I 33, hkl 4 1 2

Structural model:
Unit cell a=9.9013 b=9.9013 c=3.6429 alpha=90.00 beta=90.00 gamma=90.00
Space group P4/mbm (No. 127)
One atom of each set of equivalent atoms:
Sm (0.1792, 0.3208, 0.0000) (multiplicity 4)
Ti (0.1234, 0.6234, 0.0000) (multiplicity 4)
Al (0.0000, 0.0000, 0.0000) (multiplicity 2)
Ir (0.0000, 0.5000, 0.5000) (multiplicity 2)
Ir (0.0598, 0.7982, 0.5000) (multiplicity 8)

---

Mn3GeIr: theoretical XRD peak list (Cu Kα), based on a DFT-relaxed cell (GGA-PBE, Alexandria).
Kinematic intensities with the Lorentz-polarization factor, no thermal factor.

Largest 6 diffraction maxima, by angle, 2θ = 15–90°:
2θ = 23.37°, d = 3.806 Å, I 43, hkl 1 1 1; 2θ = 41.07°, d = 2.198 Å, I 100, hkl 2 2 1; 2θ = 43.40°, d = 2.085 Å, I 59, hkl 3 0 1; 2θ = 45.64°, d = 1.988 Å, I 31, hkl 3 1 1; 2θ = 51.89°, d = 1.762 Å, I 31, hkl 3 1 2; 2θ = 73.20°, d = 1.293 Å, I 36, hkl 4 3 1

Structural model:
Unit cell a=6.5929 b=6.5929 c=6.5929 alpha=90.00 beta=90.00 gamma=90.00
Space group P2_13 (No. 198)
One atom of each set of equivalent atoms:
Mn (0.0467, 0.1211, 0.7943) (multiplicity 12)
Ge (0.0612, 0.9388, 0.4388) (multiplicity 4)
Ir (0.1894, 0.1894, 0.1894) (multiplicity 4)

---

Hf3Sb2Pd8: theoretical XRD peak list (Cu Kα), based on a DFT-relaxed cell (GGA-PBE, Alexandria).
Kinematic intensities with the Lorentz-polarization factor, no thermal factor.

Largest 6 diffraction maxima, by angle, 2θ = 15–90°:
2θ = 33.48°, d = 2.677 Å, I 68, hkl 1 1 0; 2θ = 38.33°, d = 2.349 Å, I 37, hkl 1 1 6; 2θ = 38.92°, d = 2.314 Å, I 100, hkl 0 1 11; 2θ = 39.35°, d = 2.290 Å, I 62, hkl 2 0 2; 2θ = 41.90°, d = 2.156 Å, I 56, hkl 2 0 5; 2θ = 63.50°, d = 1.465 Å, I 46, hkl 1 2 11

Structural model:
Unit cell a=5.3532 b=5.3532 c=29.3739 alpha=90.00 beta=90.00 gamma=120.00
Space group R-3m (No. 166, hexagonal axes)
One atom of each set of equivalent atoms:
Hf (0.0000, 0.0000, 0.0000) (multiplicity 3)
Hf (0.0000, 0.0000, 0.1892) (multiplicity 6)
Sb (0.0000, 0.0000, 0.3673) (multiplicity 6)
Pd (0.0000, 0.0000, 0.2778) (multiplicity 6)
Pd (0.0024, 0.5012, 0.7768) (multiplicity 18)

---

K3UPa2N6: theoretical XRD peak list (Cu Kα), based on a DFT-relaxed cell (GGA-PBE, Alexandria).
Kinematic intensities with the Lorentz-polarization factor, no thermal factor.

Largest 6 diffraction maxima, by angle, 2θ = 15–90°:
2θ = 27.76°, d = 3.214 Å, I 46, hkl 0 0 2; 2θ = 29.08°, d = 3.071 Å, I 59, hkl 1 3 0; 2θ = 30.19°, d = 2.960 Å, I 98, hkl 2 0 0; 2θ = 34.31°, d = 2.614 Å, I 100, hkl 1 3 1; 2θ = 47.74°, d = 1.905 Å, I 35, hkl 2 0 2; 2θ = 58.91°, d = 1.568 Å, I 34, hkl 3 3 1

Structural model:
Unit cell a=6.2205 b=10.7753 c=6.7533 alpha=90.00 beta=107.88 gamma=90.00
Space group C2/m (No. 12)
One atom of each set of equivalent atoms:
K (0.0000, 0.0000, 0.0000) (multiplicity 2)
K (0.0000, 0.3350, 0.0000) (multiplicity 4)
U (0.0000, 0.5000, 0.5000) (multiplicity 2)
Pa (0.0000, 0.1667, 0.5000) (multiplicity 4)
N (0.2174, 0.3355, 0.6588) (multiplicity 8)
N (0.2240, 0.0000, 0.6584) (multiplicity 4)

---

Y5Ge10Rh4: theoretical XRD peak list (Cu Kα), based on a DFT-relaxed cell (GGA-PBE, Alexandria).
Kinematic intensities with the Lorentz-polarization factor, no thermal factor.

Largest 6 diffraction maxima, by angle, 2θ = 15–90°:
2θ = 32.25°, d = 2.775 Å, I 40, hkl 3 2 1; 2θ = 34.43°, d = 2.605 Å, I 61, hkl 4 0 1; 2θ = 35.03°, d = 2.562 Å, I 37, hkl 5 1 0; 2θ = 35.13°, d = 2.554 Å, I 39, hkl 4 1 1; 2θ = 35.82°, d = 2.507 Å, I 100, hkl 3 3 1; 2θ = 41.84°, d = 2.159 Å, I 65, hkl 0 0 2

Structural model:
Unit cell a=13.0621 b=13.0621 c=4.3181 alpha=90.00 beta=90.00 gamma=90.00
Space group P4/mbm (No. 127)
One atom of each set of equivalent atoms:
Y (0.0000, 0.0000, 0.0000) (multiplicity 2)
Y (0.1129, 0.3871, 0.5000) (multiplicity 4)
Y (0.1752, 0.6752, 0.5000) (multiplicity 4)
Ge (0.0023, 0.8416, 0.5000) (multiplicity 8)
Ge (0.0670, 0.5670, 0.0000) (multiplicity 4)
Ge (0.1616, 0.2004, 0.0000) (multiplicity 8)
Rh (0.0215, 0.7546, 0.0000) (multiplicity 8)

---

NdCdNi10: theoretical XRD peak list (Cu Kα), based on a DFT-relaxed cell (GGA-PBE, Alexandria).
Kinematic intensities with the Lorentz-polarization factor, no thermal factor.

Largest 6 diffraction maxima, by angle, 2θ = 15–90°:
2θ = 30.84°, d = 2.899 Å, I 42, hkl 1 1 1; 2θ = 37.05°, d = 2.426 Å, I 29, hkl 0 2 0; 2θ = 43.05°, d = 2.101 Å, I 34, hkl 0 0 4; 2θ = 43.62°, d = 2.075 Å, I 100, hkl 1 2 0; 2θ = 45.28°, d = 2.003 Å, I 29, hkl 2 0 0; 2θ = 71.33°, d = 1.322 Å, I 21, hkl 1 3 3

Structural model:
Unit cell a=4.0056 b=4.8511 c=8.4068 alpha=90.00 beta=90.00 gamma=90.00
Space group Pmmm (No. 47)
One atom of each set of equivalent atoms:
Nd (0.0000, 0.0000, 0.0000) (multiplicity 1)
Cd (0.0000, 0.5000, 0.5000) (multiplicity 1)
Ni (0.0000, 0.0000, 0.3417) (multiplicity 2)
Ni (0.0000, 0.5000, 0.1793) (multiplicity 2)
Ni (0.5000, 0.0000, 0.5000) (multiplicity 1)
Ni (0.5000, 0.2517, 0.2542) (multiplicity 4)
Ni (0.5000, 0.5000, 0.0000) (multiplicity 1)

---

LiTbNi10: theoretical XRD peak list (Cu Kα), based on a DFT-relaxed cell (GGA-PBE, Alexandria).
Kinematic intensities with the Lorentz-polarization factor, no thermal factor.

Largest 6 diffraction maxima, by angle, 2θ = 15–90°:
2θ = 31.17°, d = 2.869 Å, I 23, hkl 1 1 1; 2θ = 37.54°, d = 2.396 Å, I 22, hkl 0 2 0; 2θ = 43.62°, d = 2.075 Å, I 31, hkl 0 0 4; 2θ = 44.14°, d = 2.052 Å, I 100, hkl 1 2 0; 2θ = 45.69°, d = 1.986 Å, I 33, hkl 2 0 0; 2θ = 49.56°, d = 1.839 Å, I 28, hkl 1 2 2

Structural model:
Unit cell a=3.9715 b=4.7907 c=8.3035 alpha=90.00 beta=90.00 gamma=90.00
Space group Pmmm (No. 47)
One atom of each set of equivalent atoms:
Li (0.0000, 0.0000, 0.0000) (multiplicity 1)
Tb (0.0000, 0.5000, 0.5000) (multiplicity 1)
Ni (0.0000, 0.0000, 0.3193) (multiplicity 2)
Ni (0.0000, 0.5000, 0.1576) (multiplicity 2)
Ni (0.5000, 0.0000, 0.5000) (multiplicity 1)
Ni (0.5000, 0.2506, 0.2480) (multiplicity 4)
Ni (0.5000, 0.5000, 0.0000) (multiplicity 1)

---

Na4Mn3NbSe8: theoretical XRD peak list (Cu Kα), based on a DFT-relaxed cell (GGA-PBE, Alexandria).
Kinematic intensities with the Lorentz-polarization factor, no thermal factor.

Largest 6 diffraction maxima, by angle, 2θ = 15–90°:
2θ = 31.85°, d = 2.810 Å, I 100, hkl 0 2 4; 2θ = 40.76°, d = 2.214 Å, I 15, hkl 0 2 7; 2θ = 44.30°, d = 2.045 Å, I 30, hkl 2 0 8; 2θ = 46.98°, d = 1.934 Å, I 35, hkl 2 2 0; 2θ = 57.88°, d = 1.593 Å, I 17, hkl 4 0 4; 2θ = 77.65°, d = 1.230 Å, I 14, hkl 2 4 4

Structural model:
Unit cell a=7.7363 b=7.7363 c=20.6481 alpha=90.00 beta=90.00 gamma=120.00
Space group R-3m (No. 166, hexagonal axes)
One atom of each set of equivalent atoms:
Na (0.0000, 0.0000, 0.0000) (multiplicity 3)
Na (0.0000, 0.5000, 0.0000) (multiplicity 9)
Mn (0.0000, 0.5000, 0.5000) (multiplicity 9)
Nb (0.0000, 0.0000, 0.5000) (multiplicity 3)
Se (0.0000, 0.0000, 0.2322) (multiplicity 6)
Se (0.0050, 0.5025, 0.2372) (multiplicity 18)